[1]
Simulated X-ray diffraction stick pattern of BaGe4Rh2S6 for Cu Kα, from a GGA-PBE-relaxed structure.

Structure:
```
data_BaGe4Rh2S6
_chemical_formula_sum 'Ba4 Ge16 Rh8 S24'
_cell_length_a 5.9826
_cell_length_b 29.5295
_cell_length_c 6.0441
_cell_angle_alpha 90.00
_cell_angle_beta 90.00
_cell_angle_gamma 90.00
_symmetry_space_group_name_H-M 'P b c a'
_symmetry_Int_Tables_number 61
loop_
_symmetry_equiv_pos_as_xyz
'x,y,z'
'-x,-y,-z'
'-x+1/2,-y,z+1/2'
'x+1/2,y,-z+1/2'
'x+1/2,-y+1/2,-z'
'-x+1/2,y+1/2,z'
'-x,y+1/2,-z+1/2'
'x,-y+1/2,z+1/2'
loop_
_atom_site_label
_atom_site_type_symbol
_atom_site_fract_x
_atom_site_fract_y
_atom_site_fract_z
Ba1 Ba 0.0000 0.0000 0.0000
Ge1 Ge 0.0830 0.1234 0.4184
Ge2 Ge 0.1125 0.1842 0.8795
Rh1 Rh 0.0097 0.7010 0.9971
S1 S 0.0049 0.0512 0.5041
S2 S 0.0098 0.6133 0.4630
S3 S 0.1244 0.7234 0.3803
```

Principal peaks in the range 10° ≤ 2θ ≤ 80°, low angle first:
two_theta	I/Imax
18.0	25
22.8	59
29.6	58
29.9	100
30.3	31
39.7	24
42.5	36
45.3	22
52.6	23
53.0	24

***

[2]
Simulated X-ray diffraction stick pattern of Ba3GeS5 for Cu Kα, from a GGA-PBE-relaxed structure.

Structure:
```
data_Ba3GeS5
_chemical_formula_sum 'Ba12 Ge4 S20'
_cell_length_a 12.2101
_cell_length_b 9.6684
_cell_length_c 8.7425
_cell_angle_alpha 90.00
_cell_angle_beta 90.00
_cell_angle_gamma 90.00
_symmetry_space_group_name_H-M 'P n m a'
_symmetry_Int_Tables_number 62
loop_
_symmetry_equiv_pos_as_xyz
'x,y,z'
'-x,-y,-z'
'-x+1/2,-y,z+1/2'
'x+1/2,y,-z+1/2'
'x+1/2,-y+1/2,-z+1/2'
'-x+1/2,y+1/2,z+1/2'
'-x,y+1/2,-z'
'x,-y+1/2,z'
loop_
_atom_site_label
_atom_site_type_symbol
_atom_site_fract_x
_atom_site_fract_y
_atom_site_fract_z
Ba1 Ba 0.0202 0.2500 0.1120
Ba2 Ba 0.1816 0.0189 0.5774
Ge1 Ge 0.0997 0.7500 0.3064
S1 S 0.0022 0.7500 0.5198
S2 S 0.0568 0.5596 0.1798
S3 S 0.2200 0.2500 0.8500
S4 S 0.2335 0.7500 0.8190
```

Principal peaks in the range 10° ≤ 2θ ≤ 80°, low angle first:
two_theta	I/Imax
22.2	32
23.5	100
24.1	74
28.5	89
30.5	44
31.0	41
31.2	31
35.4	43
37.2	42
42.8	34

***

[3]
Simulated X-ray diffraction stick pattern of Ba2GeS4 for Cu Kα, from a GGA-PBE-relaxed structure.

Structure:
```
data_Ba2GeS4
_chemical_formula_sum 'Ba8 Ge4 S16'
_cell_length_a 9.0949
_cell_length_b 6.9017
_cell_length_c 12.5905
_cell_angle_alpha 90.00
_cell_angle_beta 90.00
_cell_angle_gamma 90.00
_symmetry_space_group_name_H-M 'P n m a'
_symmetry_Int_Tables_number 62
loop_
_symmetry_equiv_pos_as_xyz
'x,y,z'
'-x,-y,-z'
'-x+1/2,-y,z+1/2'
'x+1/2,y,-z+1/2'
'x+1/2,-y+1/2,-z+1/2'
'-x+1/2,y+1/2,z+1/2'
'-x,y+1/2,-z'
'x,-y+1/2,z'
loop_
_atom_site_label
_atom_site_type_symbol
_atom_site_fract_x
_atom_site_fract_y
_atom_site_fract_z
Ba1 Ba 0.0214 0.2500 0.1692
Ba2 Ba 0.1267 0.7500 0.4195
Ge1 Ge 0.2289 0.7500 0.0718
S1 S 0.0130 0.2500 0.9055
S2 S 0.1709 0.5141 0.6406
S3 S 0.1927 0.2500 0.4032
```

Principal peaks in the range 10° ≤ 2θ ≤ 80°, low angle first:
two_theta	I/Imax
21.5	96
23.4	45
24.5	45
24.8	83
25.8	100
28.4	42
30.3	51
33.0	63
33.4	43
35.1	42

***

[4]
Simulated X-ray diffraction stick pattern of Ba4Ge2Te5Se3 for Cu Kα, from a GGA-PBE-relaxed structure.

Structure:
```
data_Ba4Ge2Te5Se3
_chemical_formula_sum 'Ba4 Ge2 Te5 Se3'
_cell_length_a 7.4226
_cell_length_b 7.6357
_cell_length_c 9.5491
_cell_angle_alpha 108.32
_cell_angle_beta 90.03
_cell_angle_gamma 90.10
_symmetry_space_group_name_H-M 'P 1'
_symmetry_Int_Tables_number 1
loop_
_symmetry_equiv_pos_as_xyz
'x,y,z'
loop_
_atom_site_label
_atom_site_type_symbol
_atom_site_fract_x
_atom_site_fract_y
_atom_site_fract_z
Ba1 Ba 0.0000 0.0000 0.0000
Ba2 Ba 0.9997 0.0139 0.4956
Ba3 Ba 0.5116 0.5551 0.8913
Ba4 Ba 0.5135 0.5419 0.3775
Ge1 Ge 0.0074 0.5651 0.1420
Ge2 Ge 0.5138 0.9947 0.7417
Te1 Te 0.0054 0.3916 0.8599
Te2 Te 0.0063 0.3798 0.3301
Te3 Te 0.2430 0.7666 0.6816
Te4 Te 0.5087 0.1622 0.0253
Te5 Te 0.5089 0.1776 0.5527
Se1 Se 0.2588 0.7725 0.1977
Se2 Se 0.7548 0.7718 0.1975
Se3 Se 0.7615 0.7856 0.6858
```

Principal peaks in the range 10° ≤ 2θ ≤ 80°, low angle first:
two_theta	I/Imax
24.0	38
26.2	94
27.0	36
27.4	27
28.9	100
31.1	76
34.6	36
37.7	42
45.4	29
49.5	24